Theoretical powder XRD pattern of Sr2Cd2Sn3 for λ = 1.5418 Å (Cu Kα), from a GGA-PBE-relaxed structure.

Main lines, sorted by position (10° ≤ 2θ ≤ 80°):
17.97 deg, rel. 236; 29.28 deg, rel. 1000; 29.54 deg, rel. 804; 33.27 deg, rel. 338; 35.40 deg, rel. 626; 38.62 deg, rel. 363; 41.15 deg, rel. 347; 41.47 deg, rel. 323; 53.39 deg, rel. 280; 62.23 deg, rel. 266

Atomic structure:
Cell: 11.065 11.065 7.758 Å, 90.00 90.00 153.51°
Atoms (fractional coordinates):
1 Sr 0.046 0.954 0.750
2 Sr 0.155 0.845 0.250
3 Sr 0.845 0.155 0.750
4 Sr 0.954 0.046 0.250
5 Cd 0.308 0.692 0.052
6 Cd 0.308 0.692 0.448
7 Cd 0.692 0.308 0.552
8 Cd 0.692 0.308 0.948
9 Sn 0.218 0.782 0.750
10 Sn 0.437 0.563 0.564
11 Sn 0.437 0.563 0.936
12 Sn 0.563 0.437 0.064
13 Sn 0.563 0.437 0.436
14 Sn 0.782 0.218 0.250